The following is a theoretical powder XRD pattern of Rb2EuF5. It was derived from DFT lattice parameters and positions (PBE), using Cu Kα (weighted mean of Kα1 and Kα2).

Largest 10 diffraction maxima, sorted by position, 2θ from 10° to 90°:
14.7 deg, rel. 31; 25.4 deg, rel. 48; 26.1 deg, rel. 100; 27.3 deg, rel. 93; 27.6 deg, rel. 55; 37.8 deg, rel. 45; 38.5 deg, rel. 28; 46.8 deg, rel. 22; 47.1 deg, rel. 34; 54.4 deg, rel. 27

Structure:
```
data_Rb2EuF5
_chemical_formula_sum 'Rb8 Eu4 F20'
_symmetry_space_group_name_H-M 'P 1'
_symmetry_Int_Tables_number 1
_symmetry_space_group_name_Hall 'P 1'
_cell_length_a 11.718
_cell_length_b 7.020
_cell_length_c 7.758
_cell_angle_alpha 90.00
_cell_angle_beta 90.00
_cell_angle_gamma 90.00
loop_
_atom_site_label
_atom_site_type_symbol
_atom_site_fract_x
_atom_site_fract_y
_atom_site_fract_z
Rb1 Rb 0.169 0.037 0.000
Rb2 Rb 0.170 0.026 0.494
Rb3 Rb 0.330 0.526 0.994
Rb4 Rb 0.331 0.537 0.500
Rb5 Rb 0.669 0.463 0.000
Rb6 Rb 0.670 0.474 0.494
Rb7 Rb 0.830 0.974 0.994
Rb8 Rb 0.831 0.963 0.500
Eu1 Eu 0.001 0.443 0.748
Eu2 Eu 0.499 0.943 0.248
Eu3 Eu 0.501 0.057 0.748
Eu4 Eu 0.999 0.557 0.248
F1 F 0.012 0.887 0.244
F2 F 0.074 0.643 0.526
F3 F 0.074 0.643 0.963
F4 F 0.159 0.379 0.234
F5 F 0.186 0.339 0.745
F6 F 0.314 0.839 0.245
F7 F 0.341 0.879 0.734
F8 F 0.426 0.143 0.026
F9 F 0.426 0.143 0.463
F10 F 0.488 0.387 0.744
F11 F 0.512 0.613 0.244
F12 F 0.574 0.857 0.526
F13 F 0.574 0.857 0.963
F14 F 0.659 0.121 0.234
F15 F 0.686 0.161 0.745
F16 F 0.814 0.661 0.245
F17 F 0.841 0.621 0.734
F18 F 0.926 0.357 0.026
F19 F 0.926 0.357 0.463
F20 F 0.988 0.113 0.744
```